# 1
This entry pairs a crystal structure of ZnCo3 with its computed X-ray diffraction stick pattern. Radiation: copper Kα. Structure: the PBE geometry in the Materials Project.
Lines closer than 0.1° are merged.

Most intense lines, 2θ = 10–80°, sorted by position:
45.1 deg, intensity 1000
65.6 deg, intensity 149

Structure:
abc: 4.023 4.023 4.023
angles: 60.00 60.00 60.00
Positions (direct):
Zn 0.000 0.000 0.000
Co 0.250 0.250 0.250
Co 0.500 0.500 0.500
Co 0.750 0.750 0.750



# 2
This entry pairs a crystal structure of KHoS2O10 with its computed X-ray diffraction stick pattern. Radiation: copper Kα. Structure: the PBE geometry in the Materials Project.
Lines closer than 0.1° are merged.

Most intense lines, 2θ = 10–80°, sorted by position:
13.5 deg, intensity 1000
20.8 deg, intensity 232
21.6 deg, intensity 448
22.4 deg, intensity 176
28.3 deg, intensity 588
30.4 deg, intensity 182
37.5 deg, intensity 175
43.7 deg, intensity 171

Structure:
abc: 10.927 8.235 10.051
angles: 90.00 98.55 90.00
Positions (direct):
K 0.136 0.232 0.090
K 0.136 0.268 0.590
K 0.864 0.732 0.410
K 0.864 0.768 0.910
Ho 0.317 0.738 0.032
Ho 0.317 0.762 0.532
Ho 0.683 0.238 0.468
Ho 0.683 0.262 0.968
S 0.114 0.727 0.207
S 0.114 0.773 0.707
S 0.467 0.147 0.690
S 0.467 0.353 0.190
S 0.533 0.647 0.810
S 0.533 0.853 0.310
S 0.886 0.227 0.293
S 0.886 0.273 0.793
O 0.021 0.213 0.321
O 0.021 0.287 0.821
O 0.154 0.727 0.358
O 0.154 0.773 0.858
O 0.161 0.623 0.647
O 0.161 0.877 0.147
O 0.179 0.589 0.149
O 0.179 0.911 0.649
O 0.288 0.025 0.444
O 0.288 0.475 0.944
O 0.301 0.016 0.970
O 0.301 0.484 0.470
O 0.358 0.225 0.726
O 0.358 0.275 0.226
O 0.434 0.517 0.124
O 0.434 0.983 0.624
O 0.439 0.612 0.690
O 0.439 0.888 0.190
O 0.473 0.747 0.906
O 0.473 0.753 0.406
O 0.527 0.247 0.594
O 0.527 0.253 0.094
O 0.561 0.112 0.810
O 0.561 0.388 0.310
O 0.566 0.017 0.376
O 0.566 0.483 0.876
O 0.642 0.725 0.774
O 0.642 0.775 0.274
O 0.699 0.516 0.530
O 0.699 0.984 0.030
O 0.712 0.525 0.056
O 0.712 0.975 0.556
O 0.821 0.089 0.351
O 0.821 0.411 0.851
O 0.839 0.123 0.853
O 0.839 0.377 0.353
O 0.846 0.227 0.142
O 0.846 0.273 0.642
O 0.979 0.713 0.179
O 0.979 0.787 0.679



# 3
This entry pairs a crystal structure of K2Cd3Se4 with its computed X-ray diffraction stick pattern. Radiation: copper Kα. Structure: the PBE geometry in the Materials Project.
Lines closer than 0.1° are merged.

Most intense lines, 2θ = 10–80°, sorted by position:
12.1 deg, intensity 1000
27.7 deg, intensity 709
28.4 deg, intensity 421
30.4 deg, intensity 407
31.5 deg, intensity 340
37.2 deg, intensity 342
42.6 deg, intensity 393
46.8 deg, intensity 273

Structure:
abc: 14.629 10.868 6.982
angles: 90.00 90.00 90.00
Positions (direct):
K 0.000 0.000 0.000
K 0.000 0.500 0.000
K 0.033 0.250 0.479
K 0.467 0.750 0.979
K 0.500 0.000 0.500
K 0.500 0.500 0.500
K 0.533 0.250 0.021
K 0.967 0.750 0.521
Cd 0.203 0.750 0.229
Cd 0.247 0.094 0.164
Cd 0.247 0.406 0.164
Cd 0.253 0.594 0.664
Cd 0.253 0.906 0.664
Cd 0.297 0.250 0.729
Cd 0.703 0.750 0.271
Cd 0.747 0.094 0.336
Cd 0.747 0.406 0.336
Cd 0.753 0.594 0.836
Cd 0.753 0.906 0.836
Cd 0.797 0.250 0.771
Se 0.134 0.533 0.386
Se 0.134 0.967 0.386
Se 0.140 0.250 0.932
Se 0.146 0.750 0.870
Se 0.354 0.250 0.370
Se 0.360 0.750 0.432
Se 0.366 0.033 0.886
Se 0.366 0.467 0.886
Se 0.634 0.533 0.114
Se 0.634 0.967 0.114
Se 0.640 0.250 0.568
Se 0.646 0.750 0.630
Se 0.854 0.250 0.130
Se 0.860 0.750 0.068
Se 0.866 0.033 0.614
Se 0.866 0.467 0.614



# 4
This entry pairs a crystal structure of Ce3Y with its computed X-ray diffraction stick pattern. Radiation: copper Kα. Structure: the PBE geometry in the Materials Project.
Lines closer than 0.1° are merged.

Most intense lines, 2θ = 10–80°, sorted by position:
31.0 deg, intensity 328
31.9 deg, intensity 324
34.0 deg, intensity 1000
38.6 deg, intensity 194
53.1 deg, intensity 231
58.2 deg, intensity 205
63.3 deg, intensity 267
64.6 deg, intensity 154

Structure:
abc: 3.448 3.448 11.213
angles: 90.00 90.00 120.00
Positions (direct):
Ce 0.000 0.000 0.000
Ce 0.667 0.333 0.244
Ce 0.667 0.333 0.756
Y 0.333 0.667 0.500



# 5
This entry pairs a crystal structure of YTi2O4 with its computed X-ray diffraction stick pattern. Radiation: copper Kα. Structure: the PBE geometry in the Materials Project.
Lines closer than 0.1° are merged.

Most intense lines, 2θ = 10–80°, sorted by position:
17.2 deg, intensity 506
20.6 deg, intensity 416
34.7 deg, intensity 384
35.8 deg, intensity 343
40.5 deg, intensity 1000
41.9 deg, intensity 453
45.8 deg, intensity 201
59.7 deg, intensity 544

Structure:
abc: 6.204 6.204 6.204
angles: 120.34 117.34 92.03
Positions (direct):
Y 0.000 0.000 0.000
Y 0.500 0.000 0.500
Ti 0.000 0.500 0.500
Ti 0.500 0.000 0.000
Ti 0.500 0.500 0.000
Ti 0.500 0.500 0.500
O 0.252 0.271 0.519
O 0.252 0.733 0.981
O 0.271 0.736 0.535
O 0.298 0.264 0.035
O 0.702 0.736 0.965
O 0.729 0.264 0.465
O 0.748 0.267 0.019
O 0.748 0.729 0.481



# 6
This entry pairs a crystal structure of U3O10 with its computed X-ray diffraction stick pattern. Radiation: copper Kα. Structure: the PBE geometry in the Materials Project.
Lines closer than 0.1° are merged.

Most intense lines, 2θ = 10–80°, sorted by position:
16.4 deg, intensity 1000
21.4 deg, intensity 747
25.1 deg, intensity 556
25.8 deg, intensity 220
27.7 deg, intensity 898
31.8 deg, intensity 853
42.9 deg, intensity 383
51.7 deg, intensity 205

Structure:
abc: 5.881 20.445 7.999
angles: 90.00 117.35 90.00
Positions (direct):
U 0.191 0.053 0.197
U 0.191 0.447 0.697
U 0.223 0.649 0.751
U 0.223 0.851 0.251
U 0.264 0.242 0.746
U 0.264 0.258 0.246
U 0.736 0.742 0.754
U 0.736 0.758 0.254
U 0.777 0.149 0.749
U 0.777 0.351 0.249
U 0.809 0.553 0.303
U 0.809 0.947 0.803
O 0.007 0.227 0.883
O 0.007 0.273 0.383
O 0.012 0.670 0.897
O 0.012 0.830 0.397
O 0.111 0.101 0.947
O 0.111 0.399 0.447
O 0.130 0.172 0.218
O 0.130 0.328 0.718
O 0.151 0.054 0.420
O 0.151 0.446 0.920
O 0.154 0.525 0.430
O 0.154 0.975 0.930
O 0.353 0.562 0.817
O 0.353 0.938 0.317
O 0.472 0.577 0.218
O 0.472 0.923 0.718
O 0.485 0.220 0.573
O 0.485 0.280 0.073
O 0.494 0.671 0.632
O 0.494 0.829 0.132
O 0.506 0.171 0.868
O 0.506 0.329 0.368
O 0.515 0.720 0.927
O 0.515 0.780 0.427
O 0.528 0.077 0.282
O 0.528 0.423 0.782
O 0.647 0.062 0.683
O 0.647 0.438 0.183
O 0.846 0.025 0.070
O 0.846 0.475 0.570
O 0.849 0.554 0.080
O 0.849 0.946 0.580
O 0.870 0.672 0.282
O 0.870 0.828 0.782
O 0.889 0.601 0.553
O 0.889 0.899 0.053
O 0.988 0.170 0.603
O 0.988 0.330 0.103
O 0.993 0.727 0.617
O 0.993 0.773 0.117



# 7
This entry pairs a crystal structure of ZnSnP2O7 with its computed X-ray diffraction stick pattern. Radiation: copper Kα. Structure: the PBE geometry in the Materials Project.
Lines closer than 0.1° are merged.

Most intense lines, 2θ = 10–80°, sorted by position:
21.7 deg, intensity 528
22.9 deg, intensity 471
24.8 deg, intensity 710
25.5 deg, intensity 949
26.5 deg, intensity 1000
26.7 deg, intensity 729
28.2 deg, intensity 408
31.9 deg, intensity 346

Structure:
abc: 7.000 7.049 7.156
angles: 67.09 82.47 73.63
Positions (direct):
Zn 0.206 0.447 0.091
Zn 0.794 0.553 0.909
Sn 0.282 0.774 0.396
Sn 0.718 0.226 0.604
P 0.177 0.296 0.714
P 0.370 0.826 0.841
P 0.630 0.174 0.159
P 0.823 0.704 0.286
O 0.032 0.272 0.591
O 0.077 0.398 0.874
O 0.236 0.813 0.698
O 0.298 0.061 0.858
O 0.335 0.410 0.586
O 0.345 0.670 0.060
O 0.410 0.193 0.229
O 0.590 0.807 0.771
O 0.655 0.330 0.940
O 0.665 0.590 0.414
O 0.702 0.939 0.142
O 0.764 0.187 0.302
O 0.923 0.602 0.126
O 0.968 0.728 0.409



# 8
This entry pairs a crystal structure of PrEr3Mn8 with its computed X-ray diffraction stick pattern. Radiation: copper Kα. Structure: the PBE geometry in the Materials Project.
Lines closer than 0.1° are merged.

Most intense lines, 2θ = 10–80°, sorted by position:
33.3 deg, intensity 481
33.8 deg, intensity 931
36.9 deg, intensity 978
37.0 deg, intensity 690
39.6 deg, intensity 674
39.8 deg, intensity 662
40.2 deg, intensity 1000
40.4 deg, intensity 301

Structure:
abc: 5.301 5.301 8.578
angles: 90.59 90.59 60.94
Positions (direct):
Pr 0.000 0.000 0.000
Er 0.001 0.001 0.379
Er 0.667 0.667 0.873
Er 0.668 0.668 0.500
Mn 0.010 0.499 0.195
Mn 0.158 0.158 0.683
Mn 0.169 0.658 0.681
Mn 0.335 0.335 0.439
Mn 0.335 0.335 0.935
Mn 0.499 0.010 0.195
Mn 0.512 0.512 0.192
Mn 0.658 0.169 0.681